[1]
Sc2TiPBr: simulated powder X-ray diffraction pattern (Cu Kα X-rays), based on the GGA-PBE geometry in Alexandria.
Kinematic intensities with the Lorentz-polarization factor, no thermal factor.

Peak list (6 most intense, 2θ from 15° to 90°, sorted by position)
d (Å)  intensity  h k l
2.826  100  1 1 1
2.515  63  2 0 0
2.327  25  0 0 2
1.778  20  2 2 0
1.708  36  2 0 2
1.505  26  3 1 1

```
data_Sc2TiPBr
_cell_length_a 5.030
_cell_length_b 5.030
_cell_length_c 4.654
_cell_angle_alpha 90.00
_cell_angle_beta 90.00
_cell_angle_gamma 90.00
_space_group_name_H-M_alt 'P 4/m m m'
_space_group_IT_number 123
_space_group_name_Hall '-P 4 2'
loop_
_atom_site_label
_atom_site_type_symbol
_atom_site_fract_x
_atom_site_fract_y
_atom_site_fract_z
Sc1 Sc 0.000 0.500 0.000
Ti1 Ti 0.000 0.000 0.500
P1 P 0.000 0.000 0.000
Br1 Br 0.500 0.500 0.500
```



[2]
Er4GeBi: simulated powder X-ray diffraction pattern (Cu Kα X-rays), based on the GGA-PBE geometry in Alexandria.
Kinematic intensities with the Lorentz-polarization factor, no thermal factor.

Peak list (6 most intense, 2θ from 15° to 90°, sorted by position)
d (Å)  intensity  h k l
3.431  31  1 2 0
2.804  100  0 2 2
2.784  56  2 1 -1
2.716  30  1 0 2
2.267  39  2 2 -2
1.841  27  2 3 1

```
data_Er4GeBi
_cell_length_a 5.899
_cell_length_b 8.670
_cell_length_c 7.720
_cell_angle_alpha 90.00
_cell_angle_beta 107.88
_cell_angle_gamma 90.00
_space_group_name_H-M_alt 'P 1 21/m 1'
_space_group_IT_number 11
loop_
_space_group_symop_operation_xyz
'x,y,z'
'-x,-y,-z'
'-x,y+1/2,-z'
'x,-y+1/2,z'
loop_
_atom_site_label
_atom_site_type_symbol
_atom_site_fract_x
_atom_site_fract_y
_atom_site_fract_z
Er1 Er 0.035 0.049 0.233
Er2 Er 0.414 0.750 0.484
Er3 Er 0.432 0.250 0.002
Ge1 Ge 0.112 0.750 0.071
Bi1 Bi 0.119 0.250 0.587
```



[3]
BaLiAl2H8: simulated powder X-ray diffraction pattern (Cu Kα X-rays), based on the GGA-PBE geometry in Alexandria.
Kinematic intensities with the Lorentz-polarization factor, no thermal factor.

Peak list (6 most intense, 2θ from 15° to 90°, sorted by position)
d (Å)  intensity  h k l
4.359  45  1 0 0
3.783  100  0 1 1
2.868  67  1 0 2
2.516  33  1 1 0
2.389  23  1 1 1
2.097  28  2 0 1

```
data_BaLiAl2H8
_cell_length_a 5.0328
_cell_length_b 5.0328
_cell_length_c 7.6194
_cell_angle_alpha 90.00
_cell_angle_beta 90.00
_cell_angle_gamma 120.00
_space_group_name_H-M_alt 'P -3 m 1'
_space_group_IT_number 164
_space_group_name_Hall '-P 3 2"'
loop_
_atom_site_label
_atom_site_type_symbol
_atom_site_fract_x
_atom_site_fract_y
_atom_site_fract_z
Ba1 Ba 0.0000 0.0000 0.0000
Li1 Li 0.0000 0.0000 0.5000
Al1 Al 0.3333 0.6667 0.2757
H1 H 0.1546 0.3092 0.3306
H2 H 0.3333 0.6667 0.0546
```



[4]
MgNiS: simulated powder X-ray diffraction pattern (Cu Kα X-rays), based on the GGA-PBE geometry in Alexandria.
Kinematic intensities with the Lorentz-polarization factor, no thermal factor.

Peak list (6 most intense, 2θ from 15° to 90°, sorted by position)
d (Å)  intensity  h k l
2.673  63  2 0 0
2.645  48  2 0 -1
2.464  97  0 2 1
2.016  100  0 2 2
1.898  51  2 2 0
1.888  54  2 2 -1

```
data_MgNiS
_cell_length_a 5.452
_cell_length_b 5.390
_cell_length_c 6.194
_cell_angle_alpha 90.00
_cell_angle_beta 101.32
_cell_angle_gamma 90.00
_space_group_name_H-M_alt 'C 1 m 1'
_space_group_IT_number 8
loop_
_space_group_symop_operation_xyz
'x,y,z'
'x,-y,z'
'x+1/2,y+1/2,z'
'x+1/2,-y+1/2,z'
loop_
_atom_site_label
_atom_site_type_symbol
_atom_site_fract_x
_atom_site_fract_y
_atom_site_fract_z
Mg1 Mg 0.000 0.000 0.000
Mg2 Mg 0.109 0.500 0.359
Ni1 Ni 0.186 0.240 0.715
S1 S 0.006 0.500 0.923
S2 S 0.120 0.000 0.400
```



[5]
Tb2Pm6PrEr: simulated powder X-ray diffraction pattern (Cu Kα X-rays), based on the GGA-PBE geometry in Alexandria.
Kinematic intensities with the Lorentz-polarization factor, no thermal factor.

Peak list (6 most intense, 2θ from 15° to 90°, sorted by position)
d (Å)  intensity  h k l
3.176  39  1 3 2
2.972  54  3 1 -1
2.953  46  0 2 3
2.902  100  2 2 2
2.875  36  2 4 -1
2.677  42  1 3 -3

```
data_Tb2Pm6PrEr
_cell_length_a 9.267
_cell_length_b 15.300
_cell_length_c 9.677
_cell_angle_alpha 90.00
_cell_angle_beta 97.01
_cell_angle_gamma 90.00
_space_group_name_H-M_alt 'C 1 2/c 1'
_space_group_IT_number 15
loop_
_space_group_symop_operation_xyz
'x,y,z'
'-x,-y,-z'
'-x,y,-z+1/2'
'x,-y,z+1/2'
'x+1/2,y+1/2,z'
'-x+1/2,-y+1/2,-z'
'-x+1/2,y+1/2,-z+1/2'
'x+1/2,-y+1/2,z+1/2'
loop_
_atom_site_label
_atom_site_type_symbol
_atom_site_fract_x
_atom_site_fract_y
_atom_site_fract_z
Tb1 Tb 0.248 0.050 0.453
Pm1 Pm 0.062 0.318 0.945
Pm2 Pm 0.099 0.109 0.118
Pm3 Pm 0.212 0.276 0.314
Pr1 Pr 0.000 0.474 0.250
Er1 Er 0.000 0.089 0.750
```



[6]
Ca7Hg3N2: simulated powder X-ray diffraction pattern (Cu Kα X-rays), based on the GGA-PBE geometry in Alexandria.
Kinematic intensities with the Lorentz-polarization factor, no thermal factor.

Peak list (6 most intense, 2θ from 15° to 90°, sorted by position)
d (Å)  intensity  h k l
4.853  23  0 0 1
3.482  28  1 5 0
2.829  100  1 5 1
2.467  21  0 10 0
2.457  19  2 0 0
2.427  18  0 0 2

```
data_Ca7Hg3N2
_cell_length_a 4.914
_cell_length_b 24.673
_cell_length_c 4.853
_cell_angle_alpha 90.00
_cell_angle_beta 90.00
_cell_angle_gamma 90.00
_space_group_name_H-M_alt 'C m m m'
_space_group_IT_number 65
_space_group_name_Hall '-C 2 2'
loop_
_atom_site_label
_atom_site_type_symbol
_atom_site_fract_x
_atom_site_fract_y
_atom_site_fract_z
Ca1 Ca 0.000 0.000 0.000
Ca2 Ca 0.000 0.100 0.500
Ca3 Ca 0.000 0.198 0.000
Ca4 Ca 0.000 0.399 0.000
Hg1 Hg 0.000 0.297 0.500
Hg2 Hg 0.000 0.500 0.500
N1 N 0.000 0.102 0.000
```